# Cs2Li2Si
Calculated powder diffraction line list, Cu Kα. Input: a GGA-PBE-relaxed structure.

Structural model:
a b c (Å): 7.536 7.536 6.336
angles (deg): 90.00 90.00 90.00
Space group P4/mbm (No. 127)
Inequivalent atoms, fractional coordinates:
Cs  0.181  0.319  0.000
Li  0.225  0.725  0.500
Si  0.000  0.000  0.500

Principal peaks in the range 2θ = 10–90°, in order of rising 2θ:
- 2θ = 14.0°, rel. 100.0
- 2θ = 23.6°, rel. 28.1
- 2θ = 26.4°, rel. 59.7
- 2θ = 27.5°, rel. 61.1
- 2θ = 28.2°, rel. 36.6
- 2θ = 30.0°, rel. 92.1
- 2θ = 39.0°, rel. 41.7
- 2θ = 51.0°, rel. 20.4
- 2θ = 52.1°, rel. 32.9
- 2θ = 53.6°, rel. 18.9
- 2θ = 58.3°, rel. 25.8
- 2θ = 80.2°, rel. 18.1



# CsLiSmTe2
Calculated powder diffraction line list, Cu Kα. Input: a GGA-PBE-relaxed structure.

Structural model:
a b c (Å): 6.845 16.658 7.071
angles (deg): 90.00 90.00 90.00
Space group Cmme (No. 67)
Inequivalent atoms, fractional coordinates:
Cs  0.000  0.250  0.240
Li  0.000  0.000  0.000
Sm  0.250  0.000  0.500
Te  0.000  0.116  0.743

Principal peaks in the range 2θ = 10–90°, in order of rising 2θ:
- 2θ = 12.5°, rel. 21.4
- 2θ = 16.4°, rel. 26.0
- 2θ = 24.2°, rel. 100.0
- 2θ = 27.4°, rel. 21.3
- 2θ = 28.2°, rel. 18.4
- 2θ = 32.5°, rel. 25.6
- 2θ = 33.2°, rel. 14.0
- 2θ = 36.5°, rel. 41.3
- 2θ = 41.3°, rel. 14.7
- 2θ = 43.8°, rel. 19.8
- 2θ = 44.8°, rel. 18.8
- 2θ = 58.0°, rel. 21.6



# CsLi2SnTe
Calculated powder diffraction line list, Cu Kα. Input: a GGA-PBE-relaxed structure.

Structural model:
a b c (Å): 5.459 5.459 6.142
angles (deg): 90.00 90.00 90.00
Space group P4/mmm (No. 123)
Inequivalent atoms, fractional coordinates:
Cs  0.000  0.000  0.000
Li  0.000  0.500  0.500
Sn  0.500  0.500  0.500
Te  0.500  0.500  0.000

Principal peaks in the range 2θ = 10–90°, in order of rising 2θ:
- 2θ = 14.4°, rel. 16.9
- 2θ = 16.2°, rel. 22.3
- 2θ = 21.8°, rel. 27.5
- 2θ = 23.0°, rel. 100.0
- 2θ = 27.3°, rel. 20.5
- 2θ = 29.1°, rel. 31.2
- 2θ = 32.8°, rel. 45.4
- 2θ = 37.4°, rel. 57.0
- 2θ = 44.4°, rel. 39.2
- 2θ = 53.0°, rel. 20.9
- 2θ = 56.3°, rel. 19.5
- 2θ = 61.6°, rel. 26.7



# Cs2LiVTe4
Calculated powder diffraction line list, Cu Kα. Input: a GGA-PBE-relaxed structure.

Structural model:
a b c (Å): 6.509 15.141 27.137
angles (deg): 90.00 90.00 90.00
Space group Fddd (No. 70, origin choice 2)
Inequivalent atoms, fractional coordinates:
Cs  0.125  0.125  0.305
Li  0.125  0.125  0.125
V  0.125  0.125  0.625
Te  0.097  0.279  0.821

Principal peaks in the range 2θ = 10–90°, in order of rising 2θ:
- 2θ = 24.4°, rel. 100.0
- 2θ = 26.3°, rel. 35.0
- 2θ = 27.8°, rel. 60.0
- 2θ = 28.2°, rel. 32.0
- 2θ = 32.2°, rel. 16.4
- 2θ = 33.9°, rel. 21.6
- 2θ = 36.2°, rel. 15.2
- 2θ = 43.4°, rel. 15.0
- 2θ = 45.5°, rel. 21.1
- 2θ = 46.7°, rel. 16.6
- 2θ = 49.3°, rel. 21.9
- 2θ = 53.3°, rel. 15.4



# CsLi2Zn
Calculated powder diffraction line list, Cu Kα. Input: a GGA-PBE-relaxed structure.

Structural model:
a b c (Å): 5.860 5.860 18.582
angles (deg): 90.00 90.00 90.00
Space group I4_1/amd (No. 141, origin choice 2)
Inequivalent atoms, fractional coordinates:
Cs  0.000  0.250  0.375
Li  0.000  0.000  0.000
Zn  0.000  0.250  0.875

Principal peaks in the range 2θ = 10–90°, in order of rising 2θ:
- 2θ = 19.1°, rel. 36.6
- 2θ = 23.5°, rel. 100.0
- 2θ = 30.5°, rel. 25.7
- 2θ = 36.2°, rel. 64.5
- 2θ = 43.7°, rel. 8.5
- 2θ = 48.1°, rel. 15.7
- 2θ = 50.2°, rel. 37.4
- 2θ = 54.1°, rel. 9.9
- 2θ = 58.0°, rel. 16.0
- 2θ = 72.0°, rel. 8.3
- 2θ = 75.4°, rel. 11.0
- 2θ = 85.0°, rel. 10.8



# CsLuTl2
Calculated powder diffraction line list, Cu Kα. Input: a GGA-PBE-relaxed structure.

Structural model:
a b c (Å): 3.871 3.871 9.249
angles (deg): 90.00 90.00 90.00
Space group P4/mmm (No. 123)
Inequivalent atoms, fractional coordinates:
Cs  0.000  0.000  0.000
Lu  0.000  0.000  0.500
Tl  0.500  0.500  0.312

Principal peaks in the range 2θ = 10–90°, in order of rising 2θ:
- 2θ = 29.0°, rel. 8.3
- 2θ = 30.1°, rel. 100.0
- 2θ = 32.7°, rel. 57.3
- 2θ = 34.2°, rel. 7.8
- 2θ = 37.3°, rel. 27.6
- 2θ = 44.2°, rel. 10.5
- 2θ = 45.7°, rel. 7.9
- 2θ = 46.9°, rel. 21.1
- 2θ = 56.8°, rel. 33.9
- 2θ = 61.4°, rel. 13.3
- 2θ = 70.1°, rel. 8.7
- 2θ = 78.1°, rel. 9.7



# CsMg7
Calculated powder diffraction line list, Cu Kα. Input: a GGA-PBE-relaxed structure.

Structural model:
a b c (Å): 7.0255 7.0255 5.4513
angles (deg): 90.00 90.00 120.00
Space group P-6m2 (No. 187)
Inequivalent atoms, fractional coordinates:
Cs  0.0000  0.0000  0.0000
Mg  0.0077  0.5038  0.0000
Mg  0.1860  0.3720  0.5000
Mg  0.6667  0.3333  0.5000

Principal peaks in the range 2θ = 10–90°, in order of rising 2θ:
- 2θ = 14.6°, rel. 44.6
- 2θ = 16.3°, rel. 14.5
- 2θ = 21.9°, rel. 54.0
- 2θ = 25.4°, rel. 16.6
- 2θ = 29.4°, rel. 31.8
- 2θ = 30.3°, rel. 18.4
- 2θ = 32.9°, rel. 23.6
- 2θ = 33.7°, rel. 100.0
- 2θ = 44.6°, rel. 23.0
- 2θ = 52.1°, rel. 29.1
- 2θ = 59.2°, rel. 18.9
- 2θ = 63.0°, rel. 18.8



# CsNaMgMo2
Calculated powder diffraction line list, Cu Kα. Input: a GGA-PBE-relaxed structure.

Structural model:
a b c (Å): 5.123 5.123 5.373
angles (deg): 90.00 90.00 90.00
Space group P4/mmm (No. 123)
Inequivalent atoms, fractional coordinates:
Cs  0.000  0.000  0.000
Na  0.000  0.000  0.500
Mg  0.500  0.500  0.500
Mo  0.000  0.500  0.000

Principal peaks in the range 2θ = 10–90°, in order of rising 2θ:
- 2θ = 16.5°, rel. 100.0
- 2θ = 17.3°, rel. 38.5
- 2θ = 24.0°, rel. 37.3
- 2θ = 29.7°, rel. 17.5
- 2θ = 33.4°, rel. 32.8
- 2θ = 35.0°, rel. 57.3
- 2θ = 39.0°, rel. 45.5
- 2θ = 42.9°, rel. 15.5
- 2θ = 49.1°, rel. 42.5
- 2θ = 50.4°, rel. 19.7
- 2θ = 53.4°, rel. 17.9
- 2θ = 61.8°, rel. 21.0